For Sr2MnClO3, a cell relaxed with GGA+U gives the simulated X-ray powder pattern in this record (Cu Kα).
Peak positions follow from Bragg's law for the DFT cell and can differ from measured ones.

Cell and atoms:
```
data_Sr2MnClO3
_space_group_name_H-M_alt 'P 4/n m m'
_space_group_IT_number 129
_cell_length_a 3.9327
_cell_length_b 3.9327
_cell_length_c 14.8568
_cell_angle_alpha 90.00
_cell_angle_beta 90.00
_cell_angle_gamma 90.00
loop_
_space_group_symop_operation_xyz
'x,y,z'
'-x,-y,-z'
'-y+1/2,x,z'
'y+1/2,-x,-z'
'-x+1/2,-y+1/2,z'
'x+1/2,y+1/2,-z'
'y,-x+1/2,z'
'-y,x+1/2,-z'
'x+1/2,-y,-z'
'-x+1/2,y,z'
'-y,-x,-z'
'y,x,z'
'-x,y+1/2,-z'
'x,-y+1/2,z'
'y+1/2,x+1/2,-z'
'-y+1/2,-x+1/2,z'
loop_
_atom_site_label
_atom_site_type_symbol
_atom_site_fract_x
_atom_site_fract_y
_atom_site_fract_z
Sr1 Sr 0.2500 0.2500 0.0910
Sr2 Sr 0.2500 0.2500 0.3403
Mn1 Mn 0.2500 0.2500 0.7904
Cl1 Cl 0.2500 0.2500 0.5789
O1 O 0.2500 0.2500 0.9265
O2 O 0.2500 0.7500 0.2295
```

Most intense lines, 10 to 90 degrees two-theta, low angle first:
- 11.91 deg, I 22, hkl 0 0 2
- 28.99 deg, I 27, hkl 1 0 3
- 32.19 deg, I 87, hkl 1 1 0
- 33.18 deg, I 100, hkl 1 0 4
- 37.95 deg, I 21, hkl 1 0 5
- 40.52 deg, I 25, hkl 1 1 4
- 46.16 deg, I 48, hkl 2 0 0
- 54.66 deg, I 12, hkl 1 0 8
- 58.02 deg, I 38, hkl 2 1 4
- 67.35 deg, I 15, hkl 2 2 0
- 74.27 deg, I 13, hkl 2 1 8
- 76.62 deg, I 14, hkl 3 1 0